Starting from a DFT-relaxed cell (GGA-PBE, Alexandria), the powder diffractogram of Sn2HgSe4 was simulated for Cu Kα, 1.54184 Å.
Peak positions follow from Bragg's law for the DFT cell and can differ from measured ones.

Peak list (8 most intense, 2θ = 10–90°, low angle first)
| d (Å) | 2θ/deg | I/Imax | hkl |
| --- | --- | --- | --- |
| 3.790 | 23.48 | 66 | 0 2 3 |
| 3.075 | 29.04 | 49 | 0 2 4 |
| 2.897 | 30.87 | 100 | 1 3 1 |
| 2.725 | 32.87 | 52 | 1 3 2 |
| 2.255 | 39.98 | 52 | 1 1 5 |
| 2.097 | 43.14 | 30 | 1 5 2 |
| 2.011 | 45.08 | 31 | 2 0 0 |
| 1.987 | 45.66 | 36 | 1 5 3 |

Cell and atoms:
a b c (Å): 4.0219 13.1306 13.9221
angles (deg): 90.00 90.00 90.00
Space group Cmcm (No. 63)
Inequivalent atoms, fractional coordinates:
Sn 0.0000 0.1373 0.0640 [8 per cell]
Hg 0.0000 0.4048 0.2500 [4 per cell]
Se 0.0000 0.0457 0.2500 [4 per cell]
Se 0.0000 0.2298 0.6244 [8 per cell]
Se 0.0000 0.5000 0.0000 [4 per cell]

Starting from a DFT-relaxed cell (GGA-PBE, Alexandria), the powder diffractogram of SnHgSe was simulated for Cu Kα, 1.54184 Å.
Peak positions follow from Bragg's law for the DFT cell and can differ from measured ones.

Peak list (8 most intense, 2θ = 10–90°, low angle first)
| d (Å) | 2θ/deg | I/Imax | hkl |
| --- | --- | --- | --- |
| 4.466 | 19.88 | 53 | 0 0 6 |
| 3.336 | 26.72 | 100 | 1 0 1 |
| 3.261 | 27.35 | 25 | 0 1 2 |
| 2.526 | 35.54 | 68 | 1 0 7 |
| 2.373 | 37.92 | 47 | 0 1 8 |
| 1.941 | 46.80 | 33 | 1 1 0 |
| 1.780 | 51.32 | 27 | 1 1 6 |
| 1.663 | 55.22 | 17 | 0 1 14 |

Cell and atoms:
a b c (Å): 3.8824 3.8824 26.7965
angles (deg): 90.00 90.00 120.00
Space group R3m (No. 160, hexagonal axes)
Inequivalent atoms, fractional coordinates:
Sn 0.0000 0.0000 0.0000 [3 per cell]
Hg 0.0000 0.0000 0.8574 [3 per cell]
Se 0.0000 0.0000 0.7257 [3 per cell]

Starting from a DFT-relaxed cell (GGA-PBE, Alexandria), the powder diffractogram of Sn2HgSe2 was simulated for Cu Kα, 1.54184 Å.
Peak positions follow from Bragg's law for the DFT cell and can differ from measured ones.

Peak list (8 most intense, 2θ = 10–90°, low angle first)
| d (Å) | 2θ/deg | I/Imax | hkl |
| --- | --- | --- | --- |
| 5.190 | 17.08 | 16 | 0 1 1 |
| 3.478 | 25.62 | 41 | 2 1 1 |
| 2.960 | 30.19 | 64 | 0 2 0 |
| 2.921 | 30.61 | 48 | 1 1 3 |
| 2.701 | 33.16 | 100 | 3 0 2 |
| 1.995 | 45.46 | 84 | 3 2 2 |
| 1.861 | 48.95 | 15 | 2 1 5 |
| 1.298 | 72.87 | 16 | 3 4 2 |

Cell and atoms:
a b c (Å): 9.3698 5.9197 10.7895
angles (deg): 90.00 90.00 90.00
Space group Pnma (No. 62)
Inequivalent atoms, fractional coordinates:
Sn 0.0778 0.2500 0.0976 [4 per cell]
Sn 0.1016 0.2500 0.6189 [4 per cell]
Hg 0.2433 0.2500 0.3533 [4 per cell]
Se 0.0470 0.7500 0.1434 [4 per cell]
Se 0.1272 0.7500 0.5560 [4 per cell]

Starting from a DFT-relaxed cell (GGA-PBE, Alexandria), the powder diffractogram of Sn3HgSe3 was simulated for Cu Kα, 1.54184 Å.
Peak positions follow from Bragg's law for the DFT cell and can differ from measured ones.

Peak list (8 most intense, 2θ = 10–90°, low angle first)
| d (Å) | 2θ/deg | I/Imax | hkl |
| --- | --- | --- | --- |
| 3.517 | 25.33 | 61 | 2 1 0 |
| 3.066 | 29.13 | 78 | 1 1 3 |
| 3.044 | 29.34 | 39 | 4 0 2 |
| 2.853 | 31.35 | 68 | 1 0 5 |
| 2.800 | 31.97 | 65 | 3 1 2 |
| 2.681 | 33.43 | 73 | 1 1 4 |
| 2.600 | 34.49 | 100 | 4 1 0 |
| 2.064 | 43.87 | 55 | 0 2 0 |

Cell and atoms:
a b c (Å): 13.3913 4.1278 14.6187
angles (deg): 90.00 90.00 90.00
Space group Pnma (No. 62)
Inequivalent atoms, fractional coordinates:
Sn 0.1031 0.2500 0.0820 [4 per cell]
Sn 0.1037 0.2500 0.5888 [4 per cell]
Sn 0.2156 0.7500 0.8429 [4 per cell]
Hg 0.0405 0.2500 0.3026 [4 per cell]
Se 0.0490 0.2500 0.8921 [4 per cell]
Se 0.1825 0.7500 0.4827 [4 per cell]
Se 0.2402 0.7500 0.2090 [4 per cell]

Starting from a DFT-relaxed cell (GGA-PBE, Alexandria), the powder diffractogram of TbSn2HgSe4 was simulated for Cu Kα, 1.54184 Å.
Peak positions follow from Bragg's law for the DFT cell and can differ from measured ones.

Peak list (8 most intense, 2θ = 10–90°, low angle first)
| d (Å) | 2θ/deg | I/Imax | hkl |
| --- | --- | --- | --- |
| 3.043 | 29.35 | 52 | 2 0 -2 |
| 3.000 | 29.79 | 100 | 1 1 1 |
| 2.152 | 41.99 | 38 | 1 1 -3 |
| 2.145 | 42.12 | 19 | 2 0 2 |
| 2.121 | 42.63 | 38 | 3 1 -1 |
| 2.098 | 43.13 | 18 | 0 2 0 |
| 1.727 | 53.02 | 20 | 2 2 -2 |
| 1.353 | 69.45 | 17 | 3 1 3 |

Cell and atoms:
a b c (Å): 7.3757 4.1951 7.5194
angles (deg): 90.00 109.64 90.00
Space group P2/m (No. 10)
Inequivalent atoms, fractional coordinates:
Tb 0.0000 0.0000 0.0000 [1 per cell]
Sn 0.5000 0.0000 0.5000 [1 per cell]
Sn 0.5000 0.5000 0.0000 [1 per cell]
Hg 0.0000 0.5000 0.5000 [1 per cell]
Se 0.2444 0.5000 0.2299 [2 per cell]
Se 0.2480 0.0000 0.7647 [2 per cell]

Starting from a DFT-relaxed cell (GGA-PBE, Alexandria), the powder diffractogram of SnHg2TeSe2 was simulated for Cu Kα, 1.54184 Å.
Peak positions follow from Bragg's law for the DFT cell and can differ from measured ones.

Peak list (8 most intense, 2θ = 10–90°, low angle first)
| d (Å) | 2θ/deg | I/Imax | hkl |
| --- | --- | --- | --- |
| 4.225 | 21.03 | 88 | 3 1 0 |
| 3.601 | 24.73 | 79 | 3 1 1 |
| 3.441 | 25.90 | 92 | 0 0 2 |
| 3.420 | 26.05 | 53 | 0 2 0 |
| 3.063 | 29.16 | 53 | 0 2 1 |
| 2.686 | 33.35 | 86 | 6 0 0 |
| 2.117 | 42.70 | 48 | 6 0 2 |
| 2.017 | 44.94 | 100 | 3 1 3 |

Cell and atoms:
a b c (Å): 16.1181 6.8408 6.8813
angles (deg): 90.00 90.00 90.00
Space group Cmc2_1 (No. 36)
Inequivalent atoms, fractional coordinates:
Sn 0.0000 0.2222 0.0000 [4 per cell]
Hg 0.1663 0.3606 0.4229 [8 per cell]
Te 0.0000 0.2140 0.5563 [4 per cell]
Se 0.1785 0.2677 0.0460 [8 per cell]

Starting from a DFT-relaxed cell (GGA-PBE, Alexandria), the powder diffractogram of Sn2HgTeSe3 was simulated for Cu Kα, 1.54184 Å.
Peak positions follow from Bragg's law for the DFT cell and can differ from measured ones.

Peak list (8 most intense, 2θ = 10–90°, low angle first)
| d (Å) | 2θ/deg | I/Imax | hkl |
| --- | --- | --- | --- |
| 4.200 | 21.15 | 61 | 1 1 0 |
| 3.687 | 24.14 | 52 | 0 1 5 |
| 3.618 | 24.60 | 57 | 1 1 3 |
| 3.586 | 24.83 | 51 | 0 2 1 |
| 3.007 | 29.71 | 82 | 0 2 4 |
| 2.313 | 38.94 | 49 | 1 2 5 |
| 2.154 | 41.95 | 72 | 2 0 8 |
| 2.100 | 43.08 | 100 | 2 2 0 |

Cell and atoms:
a b c (Å): 8.3997 8.3997 21.3832
angles (deg): 90.00 90.00 120.00
Space group R-3m (No. 166, hexagonal axes)
Inequivalent atoms, fractional coordinates:
Sn 0.0000 0.0000 0.0000 [3 per cell]
Sn 0.0000 0.5000 0.5000 [9 per cell]
Hg 0.0000 0.0000 0.3995 [6 per cell]
Te 0.0000 0.0000 0.2527 [6 per cell]
Se 0.0244 0.5122 0.7580 [18 per cell]

Starting from a DFT-relaxed cell (GGA-PBE, Alexandria), the powder diffractogram of ZnSnHgSe4 was simulated for Cu Kα, 1.54184 Å.
Peak positions follow from Bragg's law for the DFT cell and can differ from measured ones.

Peak list (8 most intense, 2θ = 10–90°, low angle first)
| d (Å) | 2θ/deg | I/Imax | hkl |
| --- | --- | --- | --- |
| 4.176 | 21.27 | 21 | 1 1 0 |
| 3.368 | 26.46 | 100 | 1 1 2 |
| 2.622 | 34.20 | 21 | 2 0 2 |
| 2.088 | 43.33 | 26 | 2 2 0 |
| 2.050 | 44.18 | 46 | 2 0 4 |
| 1.775 | 51.49 | 31 | 1 3 2 |
| 1.728 | 52.98 | 13 | 1 1 6 |
| 1.198 | 80.10 | 15 | 4 2 4 |

Cell and atoms:
a b c (Å): 5.9062 5.9062 11.3922
angles (deg): 90.00 90.00 90.00
Space group I-4 (No. 82)
Inequivalent atoms, fractional coordinates:
Zn 0.0000 0.0000 0.0000 [2 per cell]
Sn 0.0000 0.5000 0.7500 [2 per cell]
Hg 0.0000 0.5000 0.2500 [2 per cell]
Se 0.2287 0.2482 0.6068 [8 per cell]